(1)
For SrOsO3, the GGA-PBE geometry in the Materials Project gives the simulated PXRD pattern in this record (Cu Kα, 1.54184 Å).

Structural model:
Lattice parameters (Å, degrees): 5.586 7.970 5.652 90.00 90.00 90.00
Space group Pnma (No. 62)
Unique sites:
1 Sr 0.024 0.250 0.003 [4 per cell]
2 Os 0.000 0.000 0.500 [4 per cell]
3 O 0.006 0.750 0.431 [4 per cell]
4 O 0.216 0.535 0.783 [8 per cell]

Peak list (10 most intense, 2θ from 5° to 70°, in order of rising 2θ)
2θ/deg, d [Å], intensity
22.4, 3.977, 34.7
31.7, 2.826, 24.8
31.8, 2.814, 100.0
32.0, 2.793, 24.5
45.5, 1.993, 13.5
45.7, 1.986, 26.1
56.5, 1.629, 33.0
56.8, 1.622, 10.6
57.0, 1.616, 19.2
66.5, 1.407, 15.7

***

(2)
For TiH12C2N6F6, the GGA-PBE geometry in the Materials Project gives the simulated PXRD pattern in this record (Cu Kα, 1.54184 Å).

Structural model:
Lattice parameters (Å, degrees): 12.973 7.446 6.310 90.00 114.26 90.00
Space group Cm (No. 8)
Unique sites:
1 Ti 0.000 0.000 0.000 [2 per cell]
2 H 0.078 0.382 0.251 [4 per cell]
3 H 0.145 0.155 0.732 [4 per cell]
4 H 0.233 0.226 0.258 [4 per cell]
5 H 0.260 0.275 0.725 [4 per cell]
6 H 0.354 0.339 0.274 [4 per cell]
7 H 0.417 0.117 0.719 [4 per cell]
8 C 0.226 0.500 0.277 [2 per cell]
9 C 0.273 0.000 0.717 [2 per cell]
10 N 0.121 0.500 0.271 [2 per cell]
11 N 0.222 0.155 0.720 [4 per cell]
12 N 0.278 0.343 0.284 [4 per cell]
13 N 0.374 0.000 0.704 [2 per cell]
14 F 0.017 0.179 0.802 [4 per cell]
15 F 0.159 0.000 0.179 [2 per cell]
16 F 0.342 0.500 0.825 [2 per cell]
17 F 0.485 0.319 0.198 [4 per cell]

Peak list (10 most intense, 2θ from 5° to 70°, in order of rising 2θ)
2θ/deg, d [Å], intensity
14.1, 6.302, 100.0
15.4, 5.753, 25.9
16.5, 5.372, 69.8
23.1, 3.850, 69.8
29.2, 3.060, 28.6
30.2, 2.957, 17.3
31.1, 2.877, 24.7
37.4, 2.402, 14.1
40.0, 2.254, 15.4
51.2, 1.785, 14.1